(1)
This entry pairs a crystal structure of Th4TcSe2 with its computed powder diffraction line list. Radiation: a wavelength of 1.5418 Å. Structure: a cell relaxed with GGA-PBE.
Peak positions follow from Bragg's law for the DFT cell and can differ from measured ones.

Top 8 peaks for 5° ≤ 2θ ≤ 70°, sorted by position:
26.85°, d = 3.320 Å, rel. 320
27.39°, d = 3.256 Å, rel. 1000
30.22°, d = 2.958 Å, rel. 487
30.83°, d = 2.901 Å, rel. 517
32.60°, d = 2.747 Å, rel. 438
38.72°, d = 2.325 Å, rel. 415
43.88°, d = 2.063 Å, rel. 337
54.91°, d = 1.672 Å, rel. 327

Structure:
a = 7.087 Å, b = 7.087 Å, c = 14.829 Å
α = 90.00°, β = 90.00°, γ = 148.08°
Positions (direct):
1 Th 0.000 0.000 0.000
2 Th 0.000 0.000 0.500
3 Th 0.307 0.693 0.628
4 Th 0.307 0.693 0.872
5 Th 0.448 0.552 0.250
6 Th 0.552 0.448 0.750
7 Th 0.693 0.307 0.128
8 Th 0.693 0.307 0.372
9 Tc 0.097 0.903 0.250
10 Tc 0.903 0.097 0.750
11 Se 0.352 0.648 0.070
12 Se 0.352 0.648 0.430
13 Se 0.648 0.352 0.570
14 Se 0.648 0.352 0.930

***

(2)
This entry pairs a crystal structure of Th2TcSe with its computed powder diffraction line list. Radiation: a wavelength of 1.5418 Å. Structure: a cell relaxed with GGA-PBE.
Peak positions follow from Bragg's law for the DFT cell and can differ from measured ones.

Top 8 peaks for 5° ≤ 2θ ≤ 70°, sorted by position:
25.96°, d = 3.432 Å, rel. 468
29.52°, d = 3.026 Å, rel. 459
30.34°, d = 2.946 Å, rel. 1000
42.84°, d = 2.111 Å, rel. 673
43.45°, d = 2.083 Å, rel. 379
51.29°, d = 1.781 Å, rel. 248
53.40°, d = 1.716 Å, rel. 356
63.12°, d = 1.473 Å, rel. 127

Structure:
a = 5.891 Å, b = 5.891 Å, c = 12.105 Å
α = 90.00°, β = 90.00°, γ = 90.00°
Positions (direct):
1 Th 0.000 0.249 0.106
2 Th 0.000 0.251 0.644
3 Th 0.000 0.749 0.356
4 Th 0.000 0.751 0.894
5 Th 0.500 0.249 0.394
6 Th 0.500 0.251 0.856
7 Th 0.500 0.749 0.144
8 Th 0.500 0.751 0.606
9 Tc 0.000 0.251 0.875
10 Tc 0.000 0.749 0.125
11 Tc 0.500 0.251 0.625
12 Tc 0.500 0.749 0.375
13 Se 0.000 0.249 0.375
14 Se 0.000 0.751 0.625
15 Se 0.500 0.249 0.125
16 Se 0.500 0.751 0.875

***

(3)
This entry pairs a crystal structure of U3Tl3TcSe8 with its computed powder diffraction line list. Radiation: a wavelength of 1.5418 Å. Structure: a cell relaxed with GGA-PBE.
Peak positions follow from Bragg's law for the DFT cell and can differ from measured ones.

Top 8 peaks for 5° ≤ 2θ ≤ 70°, sorted by position:
10.68°, d = 8.281 Å, rel. 140
21.46°, d = 4.141 Å, rel. 145
27.56°, d = 3.237 Å, rel. 190
30.29°, d = 2.950 Å, rel. 1000
39.56°, d = 2.278 Å, rel. 417
46.94°, d = 1.936 Å, rel. 311
56.89°, d = 1.618 Å, rel. 166
66.08°, d = 1.414 Å, rel. 145

Structure:
a = 9.411 Å, b = 9.411 Å, c = 9.411 Å
α = 48.58°, β = 48.58°, γ = 48.58°
Positions (direct):
1 U 0.000 0.500 0.500
2 U 0.500 0.000 0.500
3 U 0.500 0.500 0.000
4 Tl 0.000 0.000 0.500
5 Tl 0.000 0.500 0.000
6 Tl 0.500 0.000 0.000
7 Tc 0.000 0.000 0.000
8 Se 0.221 0.221 0.755
9 Se 0.221 0.755 0.221
10 Se 0.245 0.779 0.779
11 Se 0.262 0.262 0.262
12 Se 0.738 0.738 0.738
13 Se 0.755 0.221 0.221
14 Se 0.779 0.245 0.779
15 Se 0.779 0.779 0.245

***

(4)
This entry pairs a crystal structure of Tm4TcSe with its computed powder diffraction line list. Radiation: a wavelength of 1.5418 Å. Structure: a cell relaxed with GGA-PBE.
Peak positions follow from Bragg's law for the DFT cell and can differ from measured ones.

Top 8 peaks for 5° ≤ 2θ ≤ 70°, sorted by position:
30.65°, d = 2.917 Å, rel. 1000
31.30°, d = 2.858 Å, rel. 286
32.49°, d = 2.756 Å, rel. 816
34.30°, d = 2.614 Å, rel. 679
35.35°, d = 2.539 Å, rel. 884
40.71°, d = 2.216 Å, rel. 505
43.30°, d = 2.090 Å, rel. 508
56.37°, d = 1.632 Å, rel. 347

Structure:
a = 7.333 Å, b = 4.179 Å, c = 19.588 Å
α = 90.00°, β = 90.00°, γ = 90.00°
Positions (direct):
1 Tm 0.010 0.250 0.073
2 Tm 0.073 0.250 0.359
3 Tm 0.097 0.250 0.787
4 Tm 0.151 0.250 0.529
5 Tm 0.349 0.750 0.029
6 Tm 0.403 0.750 0.287
7 Tm 0.427 0.750 0.859
8 Tm 0.490 0.750 0.573
9 Tm 0.510 0.250 0.427
10 Tm 0.573 0.250 0.141
11 Tm 0.597 0.250 0.713
12 Tm 0.651 0.250 0.971
13 Tm 0.849 0.750 0.471
14 Tm 0.903 0.750 0.213
15 Tm 0.927 0.750 0.641
16 Tm 0.990 0.750 0.927
17 Tc 0.250 0.250 0.932
18 Tc 0.250 0.750 0.432
19 Tc 0.750 0.250 0.568
20 Tc 0.750 0.750 0.068
21 Se 0.197 0.250 0.212
22 Se 0.303 0.750 0.712
23 Se 0.697 0.250 0.288
24 Se 0.803 0.750 0.788

***

(5)
This entry pairs a crystal structure of TcW2Se with its computed powder diffraction line list. Radiation: a wavelength of 1.5418 Å. Structure: a cell relaxed with GGA-PBE.
Peak positions follow from Bragg's law for the DFT cell and can differ from measured ones.

Top 8 peaks for 5° ≤ 2θ ≤ 70°, sorted by position:
10.36°, d = 8.540 Å, rel. 338
35.02°, d = 2.562 Å, rel. 72
37.65°, d = 2.389 Å, rel. 1000
39.15°, d = 2.301 Å, rel. 60
42.33°, d = 2.135 Å, rel. 226
45.18°, d = 2.007 Å, rel. 585
62.46°, d = 1.487 Å, rel. 230
69.07°, d = 1.360 Å, rel. 151

Structure:
a = 2.974 Å, b = 2.974 Å, c = 25.620 Å
α = 90.00°, β = 90.00°, γ = 120.00°
Positions (direct):
1 Tc 0.000 0.000 0.000
2 Tc 0.333 0.667 0.667
3 Tc 0.667 0.333 0.333
4 W 0.000 0.000 0.256
5 W 0.000 0.000 0.500
6 W 0.333 0.667 0.167
7 W 0.333 0.667 0.923
8 W 0.667 0.333 0.590
9 W 0.667 0.333 0.833
10 Se 0.000 0.000 0.758
11 Se 0.333 0.667 0.425
12 Se 0.667 0.333 0.091

***

(6)
This entry pairs a crystal structure of TcWSe2 with its computed powder diffraction line list. Radiation: a wavelength of 1.5418 Å. Structure: a cell relaxed with GGA-PBE.
Peak positions follow from Bragg's law for the DFT cell and can differ from measured ones.

Top 8 peaks for 5° ≤ 2θ ≤ 70°, sorted by position:
8.99°, d = 9.840 Å, rel. 1000
18.03°, d = 4.920 Å, rel. 123
35.67°, d = 2.517 Å, rel. 655
39.88°, d = 2.260 Å, rel. 250
41.68°, d = 2.167 Å, rel. 249
46.12°, d = 1.968 Å, rel. 104
48.00°, d = 1.896 Å, rel. 248
59.82°, d = 1.546 Å, rel. 173

Structure:
a = 3.092 Å, b = 3.092 Å, c = 29.520 Å
α = 90.00°, β = 90.00°, γ = 120.00°
Positions (direct):
1 Tc 0.000 0.000 0.000
2 Tc 0.333 0.667 0.667
3 Tc 0.667 0.333 0.333
4 W 0.000 0.000 0.255
5 W 0.333 0.667 0.922
6 W 0.667 0.333 0.589
7 Se 0.000 0.000 0.528
8 Se 0.000 0.000 0.723
9 Se 0.333 0.667 0.195
10 Se 0.333 0.667 0.390
11 Se 0.667 0.333 0.057
12 Se 0.667 0.333 0.861

***

(7)
This entry pairs a crystal structure of YTc3Se with its computed powder diffraction line list. Radiation: a wavelength of 1.5418 Å. Structure: a cell relaxed with GGA-PBE.
Peak positions follow from Bragg's law for the DFT cell and can differ from measured ones.

Top 8 peaks for 5° ≤ 2θ ≤ 70°, sorted by position:
19.26°, d = 4.609 Å, rel. 226
27.37°, d = 3.259 Å, rel. 115
33.68°, d = 2.661 Å, rel. 889
39.09°, d = 2.305 Å, rel. 1000
43.93°, d = 2.061 Å, rel. 104
56.47°, d = 1.630 Å, rel. 667
60.24°, d = 1.536 Å, rel. 50
67.39°, d = 1.390 Å, rel. 336

Structure:
a = 4.609 Å, b = 4.609 Å, c = 4.609 Å
α = 90.00°, β = 90.00°, γ = 90.00°
Positions (direct):
1 Y 0.000 0.000 0.000
2 Tc 0.000 0.500 0.500
3 Tc 0.500 0.000 0.500
4 Tc 0.500 0.500 0.000
5 Se 0.500 0.500 0.500

***

(8)
This entry pairs a crystal structure of ZrTcSe with its computed powder diffraction line list. Radiation: a wavelength of 1.5418 Å. Structure: a cell relaxed with GGA-PBE.
Peak positions follow from Bragg's law for the DFT cell and can differ from measured ones.

Top 8 peaks for 5° ≤ 2θ ≤ 70°, sorted by position:
34.22°, d = 2.620 Å, rel. 1000
37.06°, d = 2.426 Å, rel. 306
37.80°, d = 2.380 Å, rel. 276
38.22°, d = 2.355 Å, rel. 914
41.40°, d = 2.181 Å, rel. 384
47.51°, d = 1.914 Å, rel. 325
49.52°, d = 1.841 Å, rel. 266
52.04°, d = 1.757 Å, rel. 347

Structure:
a = 3.514 Å, b = 9.704 Å, c = 6.714 Å
α = 90.00°, β = 90.00°, γ = 90.00°
Positions (direct):
1 Zr 0.250 0.167 0.000
2 Zr 0.250 0.333 0.500
3 Zr 0.750 0.667 0.500
4 Zr 0.750 0.833 0.000
5 Tc 0.250 0.593 0.804
6 Tc 0.250 0.907 0.304
7 Tc 0.750 0.093 0.304
8 Tc 0.750 0.407 0.804
9 Se 0.250 0.649 0.177
10 Se 0.250 0.851 0.677
11 Se 0.750 0.149 0.677
12 Se 0.750 0.351 0.177

***

(9)
This entry pairs a crystal structure of Zr4TcSe with its computed powder diffraction line list. Radiation: a wavelength of 1.5418 Å. Structure: a cell relaxed with GGA-PBE.
Peak positions follow from Bragg's law for the DFT cell and can differ from measured ones.

Top 8 peaks for 5° ≤ 2θ ≤ 70°, sorted by position:
19.33°, d = 4.591 Å, rel. 75
31.83°, d = 2.811 Å, rel. 260
37.51°, d = 2.398 Å, rel. 1000
39.25°, d = 2.295 Å, rel. 413
45.64°, d = 1.988 Å, rel. 53
56.71°, d = 1.623 Å, rel. 97
60.50°, d = 1.530 Å, rel. 319
66.52°, d = 1.406 Å, rel. 275

Structure:
a = 5.623 Å, b = 5.623 Å, c = 5.623 Å
α = 60.00°, β = 60.00°, γ = 60.00°
Positions (direct):
1 Zr 0.377 0.377 0.377
2 Zr 0.377 0.377 0.870
3 Zr 0.377 0.870 0.377
4 Zr 0.870 0.377 0.377
5 Tc 0.750 0.750 0.750
6 Se 0.000 0.000 0.000

***

(10)
This entry pairs a crystal structure of Te6Se7 with its computed powder diffraction line list. Radiation: a wavelength of 1.5418 Å. Structure: a cell relaxed with GGA-PBE.
Peak positions follow from Bragg's law for the DFT cell and can differ from measured ones.

Top 8 peaks for 5° ≤ 2θ ≤ 70°, sorted by position:
24.14°, d = 3.687 Å, rel. 1000
28.18°, d = 3.166 Å, rel. 450
32.30°, d = 2.771 Å, rel. 239
32.66°, d = 2.742 Å, rel. 696
38.07°, d = 2.364 Å, rel. 494
40.73°, d = 2.215 Å, rel. 316
48.16°, d = 1.889 Å, rel. 231
49.44°, d = 1.843 Å, rel. 530

Structure:
a = 9.242 Å, b = 9.242 Å, c = 9.242 Å
α = 47.02°, β = 47.02°, γ = 47.02°
Positions (direct):
1 Te 0.053 0.053 0.053
2 Te 0.185 0.185 0.185
3 Te 0.332 0.332 0.332
4 Te 0.668 0.668 0.668
5 Te 0.815 0.815 0.815
6 Te 0.947 0.947 0.947
7 Se 0.097 0.577 0.577
8 Se 0.423 0.423 0.903
9 Se 0.423 0.903 0.423
10 Se 0.500 0.500 0.500
11 Se 0.577 0.097 0.577
12 Se 0.577 0.577 0.097
13 Se 0.903 0.423 0.423

***

(11)
This entry pairs a crystal structure of Te17Se12 with its computed powder diffraction line list. Radiation: a wavelength of 1.5418 Å. Structure: a cell relaxed with GGA-PBE.
Peak positions follow from Bragg's law for the DFT cell and can differ from measured ones.

Top 8 peaks for 5° ≤ 2θ ≤ 70°, sorted by position:
8.97°, d = 9.860 Å, rel. 533
17.16°, d = 5.167 Å, rel. 563
20.44°, d = 4.345 Å, rel. 1000
22.89°, d = 3.886 Å, rel. 421
27.85°, d = 3.204 Å, rel. 587
28.67°, d = 3.113 Å, rel. 477
31.16°, d = 2.871 Å, rel. 336
31.96°, d = 2.801 Å, rel. 331

Structure:
a = 10.848 Å, b = 11.355 Å, c = 11.588 Å
α = 117.10°, β = 100.32°, γ = 104.66°
Positions (direct):
1 Te 0.000 0.000 0.000
2 Te 0.001 0.095 0.390
3 Te 0.059 0.392 0.951
4 Te 0.072 0.663 0.549
5 Te 0.090 0.653 0.311
6 Te 0.283 0.978 0.273
7 Te 0.328 0.700 0.691
8 Te 0.329 0.403 0.286
9 Te 0.349 0.721 0.018
10 Te 0.365 0.384 0.047
11 Te 0.459 0.041 0.901
12 Te 0.499 0.557 0.887
13 Te 0.505 0.944 0.574
14 Te 0.595 0.446 0.414
15 Te 0.619 0.118 0.484
16 Te 0.705 0.401 0.716
17 Te 0.727 0.898 0.683
18 Se 0.016 0.353 0.146
19 Se 0.067 0.820 0.046
20 Se 0.124 0.306 0.632
21 Se 0.190 0.958 0.456
22 Se 0.248 0.098 0.870
23 Se 0.331 0.432 0.613
24 Se 0.484 0.999 0.105
25 Se 0.535 0.708 0.179
26 Se 0.740 0.695 0.467
27 Se 0.787 0.994 0.072
28 Se 0.801 0.374 0.914
29 Se 0.864 0.214 0.288

***

(12)
This entry pairs a crystal structure of TeSe5 with its computed powder diffraction line list. Radiation: a wavelength of 1.5418 Å. Structure: a cell relaxed with GGA-PBE.
Peak positions follow from Bragg's law for the DFT cell and can differ from measured ones.

Top 8 peaks for 5° ≤ 2θ ≤ 70°, sorted by position:
24.44°, d = 3.642 Å, rel. 1000
33.61°, d = 2.667 Å, rel. 679
34.64°, d = 2.590 Å, rel. 691
42.16°, d = 2.143 Å, rel. 204
46.39°, d = 1.957 Å, rel. 154
50.69°, d = 1.801 Å, rel. 307
53.10°, d = 1.725 Å, rel. 321
55.66°, d = 1.651 Å, rel. 346

Structure:
a = 3.914 Å, b = 4.287 Å, c = 20.720 Å
α = 90.00°, β = 90.00°, γ = 90.00°
Positions (direct):
1 Te 0.000 0.000 0.000
2 Te 0.000 0.500 0.500
3 Se 0.000 0.000 0.340
4 Se 0.000 0.000 0.678
5 Se 0.000 0.500 0.178
6 Se 0.000 0.500 0.840
7 Se 0.500 0.000 0.085
8 Se 0.500 0.000 0.412
9 Se 0.500 0.000 0.749
10 Se 0.500 0.500 0.249
11 Se 0.500 0.500 0.585
12 Se 0.500 0.500 0.912